The following is a theoretical powder X-ray diffraction pattern of Li3VAs2O9. It was derived from a cell relaxed with PBE+U, using Cu Kα (weighted mean of Kα1 and Kα2).
Kinematic intensities with the Lorentz-polarization factor, no thermal factor.

Top 10 peaks for 15 to 90 degrees two-theta, in order of falling intensity:
2θ = 17.6°, I 100; 2θ = 24.2°, I 46; 2θ = 23.8°, I 45; 2θ = 28.4°, I 20; 2θ = 42.2°, I 19; 2θ = 33.6°, I 17; 2θ = 43.4°, I 16; 2θ = 49.7°, I 14; 2θ = 50.8°, I 13; 2θ = 31.4°, I 13

Crystal structure
Lattice parameters (Å, degrees): 10.0639 8.7656 9.0481 90.00 90.00 90.00
Fractional coordinates of all 60 atoms:
Li: 0.1531 0.1230 0.0000
Li: 0.1634 0.6496 0.7261
Li: 0.1798 0.3963 0.1569
Li: 0.3202 0.8963 0.6569
Li: 0.3366 0.1496 0.2261
Li: 0.3469 0.6230 0.5000
Li: 0.6531 0.3770 0.0000
Li: 0.6634 0.8504 0.7261
Li: 0.6798 0.1037 0.1569
Li: 0.8202 0.6037 0.6569
Li: 0.8366 0.3504 0.2261
Li: 0.8469 0.8770 0.5000
V: 0.0122 0.2504 0.5950
V: 0.4878 0.7504 0.0950
V: 0.5122 0.2496 0.5950
V: 0.9878 0.7496 0.0950
As: 0.0048 0.0695 0.2822
As: 0.0190 0.5664 0.4111
As: 0.4810 0.0664 0.9111
As: 0.4952 0.5695 0.7822
As: 0.5048 0.4305 0.2822
As: 0.5190 0.9336 0.4111
As: 0.9810 0.4336 0.9111
As: 0.9952 0.9305 0.7822
O: 0.0246 0.9269 0.9747
O: 0.0337 0.8739 0.2570
O: 0.0353 0.6278 0.9258
O: 0.0487 0.5754 0.2181
O: 0.1171 0.3354 0.9609
O: 0.1367 0.8704 0.7030
O: 0.1426 0.1634 0.2261
O: 0.1592 0.5891 0.5088
O: 0.1716 0.2583 0.5994
O: 0.3284 0.7583 0.0994
O: 0.3408 0.0891 0.0088
O: 0.3574 0.6634 0.7261
O: 0.3633 0.3704 0.2030
O: 0.3829 0.8354 0.4609
O: 0.4513 0.0754 0.7181
O: 0.4647 0.1278 0.4258
O: 0.4663 0.3739 0.7570
O: 0.4754 0.4269 0.4747
O: 0.5246 0.5731 0.9747
O: 0.5337 0.6261 0.2570
O: 0.5353 0.8722 0.9258
O: 0.5487 0.9246 0.2181
O: 0.6171 0.1646 0.9609
O: 0.6367 0.6296 0.7030
O: 0.6426 0.3366 0.2261
O: 0.6592 0.9109 0.5088
O: 0.6716 0.2417 0.5994
O: 0.8284 0.7417 0.0994
O: 0.8408 0.4109 0.0088
O: 0.8574 0.8366 0.7261
O: 0.8633 0.1296 0.2030
O: 0.8829 0.6646 0.4609
O: 0.9513 0.4246 0.7181
O: 0.9647 0.3722 0.4258
O: 0.9663 0.1261 0.7570
O: 0.9754 0.0731 0.4747